No. 1
Structure and computed X-ray diffraction stick pattern of PaCd2SiO8 (a DFT-relaxed cell (GGA-PBE, Alexandria); copper Kα).
Kinematic intensities with the Lorentz-polarization factor, no thermal factor.

Cell and atoms:
a b c (Å): 6.040 6.040 5.613
angles (deg): 90.00 90.00 120.00
Sites, in units of the cell vectors:
1 Pa 0.000 0.000 0.000
2 Cd 0.333 0.667 0.566
3 Cd 0.667 0.333 0.434
4 Si 0.000 0.000 0.500
5 O 0.136 0.273 0.700
6 O 0.136 0.864 0.700
7 O 0.273 0.136 0.300
8 O 0.333 0.667 0.175
9 O 0.667 0.333 0.825
10 O 0.727 0.864 0.700
11 O 0.864 0.136 0.300
12 O 0.864 0.727 0.300

Peak list (10 most intense, 2θ from 5° to 70°, in order of falling intensity)
| 2θ/deg | I/Imax |
| --- | --- |
| 23.2 | 100.0 |
| 29.6 | 82.1 |
| 44.0 | 37.5 |
| 48.8 | 33.9 |
| 17.0 | 33.9 |
| 38.0 | 32.6 |
| 36.3 | 22.0 |
| 57.0 | 16.1 |
| 51.9 | 15.3 |
| 52.5 | 15.2 |

=====

No. 2
Structure and computed X-ray diffraction stick pattern of Rb2HfReI6 (a DFT-relaxed cell (GGA-PBE, Alexandria); copper Kα).
Kinematic intensities with the Lorentz-polarization factor, no thermal factor.

Cell and atoms:
a b c (Å): 8.074 8.074 8.074
angles (deg): 120.19 120.19 89.68
Sites, in units of the cell vectors:
1 Rb 0.250 0.750 0.500
2 Rb 0.750 0.250 0.500
3 Hf 0.000 0.000 0.000
4 Re 0.500 0.500 0.000
5 I 0.255 0.255 0.000
6 I 0.255 0.255 0.510
7 I 0.255 0.745 0.000
8 I 0.745 0.255 0.000
9 I 0.745 0.745 0.000
10 I 0.745 0.745 0.490

Peak list (10 most intense, 2θ from 5° to 70°, in order of falling intensity)
| 2θ/deg | I/Imax |
| --- | --- |
| 31.4 | 100.0 |
| 15.5 | 94.6 |
| 44.9 | 73.7 |
| 27.1 | 58.1 |
| 31.2 | 50.8 |
| 55.8 | 38.4 |
| 45.0 | 36.5 |
| 22.0 | 34.9 |
| 35.2 | 33.8 |
| 47.8 | 21.5 |

=====

No. 3
Structure and computed X-ray diffraction stick pattern of Th2Al3Ag4Hg (a DFT-relaxed cell (GGA-PBE, Alexandria); copper Kα).
Kinematic intensities with the Lorentz-polarization factor, no thermal factor.

Cell and atoms:
a b c (Å): 4.400 4.400 11.131
angles (deg): 90.00 90.00 90.00
Sites, in units of the cell vectors:
1 Th 0.000 0.500 0.241
2 Th 0.500 0.000 0.759
3 Al 0.000 0.500 0.872
4 Al 0.500 0.000 0.128
5 Al 0.500 0.500 0.500
6 Ag 0.000 0.000 0.000
7 Ag 0.000 0.500 0.648
8 Ag 0.500 0.000 0.352
9 Ag 0.500 0.500 0.000
10 Hg 0.000 0.000 0.500

Peak list (10 most intense, 2θ from 5° to 70°, in order of falling intensity)
| 2θ/deg | I/Imax |
| --- | --- |
| 33.0 | 100.0 |
| 41.0 | 41.1 |
| 31.5 | 40.6 |
| 69.7 | 23.9 |
| 21.7 | 23.3 |
| 45.7 | 22.5 |
| 52.6 | 19.6 |
| 63.0 | 17.2 |
| 25.8 | 14.8 |
| 59.4 | 13.7 |

=====

No. 4
Structure and computed X-ray diffraction stick pattern of Cd4As3 (a DFT-relaxed cell (GGA-PBE, Alexandria); copper Kα).
Kinematic intensities with the Lorentz-polarization factor, no thermal factor.

Cell and atoms:
a b c (Å): 11.815 11.815 11.815
angles (deg): 161.23 161.23 26.67
Sites, in units of the cell vectors:
1 Cd 0.062 0.062 0.000
2 Cd 0.307 0.307 0.000
3 Cd 0.693 0.693 0.000
4 Cd 0.938 0.938 0.000
5 As 0.177 0.177 0.000
6 As 0.500 0.500 0.000
7 As 0.823 0.823 0.000

Peak list (10 most intense, 2θ from 5° to 70°, in order of falling intensity)
| 2θ/deg | I/Imax |
| --- | --- |
| 32.9 | 100.0 |
| 45.9 | 41.2 |
| 30.3 | 37.5 |
| 47.2 | 35.5 |
| 42.4 | 33.0 |
| 31.1 | 31.0 |
| 57.6 | 20.3 |
| 65.3 | 17.7 |
| 23.4 | 15.2 |
| 57.1 | 11.7 |

=====

No. 5
Structure and computed X-ray diffraction stick pattern of Mg3In2Pb3 (a DFT-relaxed cell (GGA-PBE, Alexandria); copper Kα).
Kinematic intensities with the Lorentz-polarization factor, no thermal factor.

Cell and atoms:
a b c (Å): 5.990 5.990 5.990
angles (deg): 89.91 89.91 89.91
Sites, in units of the cell vectors:
1 Mg 0.000 0.741 0.259
2 Mg 0.259 0.000 0.741
3 Mg 0.741 0.259 0.000
4 In 0.233 0.233 0.233
5 In 0.767 0.767 0.767
6 Pb 0.248 0.500 0.752
7 Pb 0.500 0.752 0.248
8 Pb 0.752 0.248 0.500

Peak list (10 most intense, 2θ from 5° to 70°, in order of falling intensity)
| 2θ/deg | I/Imax |
| --- | --- |
| 33.5 | 100.0 |
| 36.8 | 88.7 |
| 21.0 | 41.7 |
| 25.7 | 33.6 |
| 29.8 | 29.8 |
| 55.3 | 28.4 |
| 57.6 | 24.1 |
| 57.5 | 22.8 |
| 14.8 | 15.8 |
| 62.0 | 14.6 |

=====

No. 6
Structure and computed X-ray diffraction stick pattern of La2Pm7Th2 (a DFT-relaxed cell (GGA-PBE, Alexandria); copper Kα).
Kinematic intensities with the Lorentz-polarization factor, no thermal factor.

Cell and atoms:
a b c (Å): 11.092 11.092 11.092
angles (deg): 161.58 68.24 114.96
Sites, in units of the cell vectors:
1 La 0.209 0.000 0.209
2 La 0.791 0.000 0.791
3 Pm 0.093 0.752 0.341
4 Pm 0.409 0.509 0.900
5 Pm 0.411 0.752 0.659
6 Pm 0.568 0.244 0.323
7 Pm 0.609 0.509 0.100
8 Pm 0.921 0.244 0.677
9 Pm 0.967 0.967 0.000
10 Th 0.248 0.248 0.000
11 Th 0.726 0.226 0.500

Peak list (10 most intense, 2θ from 5° to 70°, in order of falling intensity)
| 2θ/deg | I/Imax |
| --- | --- |
| 32.8 | 100.0 |
| 30.0 | 75.6 |
| 29.7 | 59.2 |
| 32.9 | 51.8 |
| 25.4 | 38.4 |
| 55.1 | 29.3 |
| 39.3 | 28.1 |
| 33.2 | 26.0 |
| 29.2 | 23.7 |
| 35.3 | 21.6 |

=====

No. 7
Structure and computed X-ray diffraction stick pattern of Sm5Y3Tm (a DFT-relaxed cell (GGA-PBE, Alexandria); copper Kα).
Kinematic intensities with the Lorentz-polarization factor, no thermal factor.

Cell and atoms:
a b c (Å): 8.844 8.844 11.581
angles (deg): 108.54 108.54 44.90
Sites, in units of the cell vectors:
1 Sm 0.108 0.111 0.549
2 Sm 0.111 0.108 0.049
3 Sm 0.185 0.815 0.750
4 Sm 0.236 0.420 0.651
5 Sm 0.420 0.236 0.151
6 Sm 0.580 0.764 0.849
7 Sm 0.764 0.580 0.349
8 Sm 0.815 0.185 0.250
9 Sm 0.889 0.892 0.951
10 Sm 0.892 0.889 0.451
11 Y 0.139 0.338 0.869
12 Y 0.338 0.139 0.369
13 Y 0.500 0.500 0.000
14 Y 0.500 0.500 0.500
15 Y 0.662 0.861 0.631
16 Y 0.861 0.662 0.131
17 Tm 0.264 0.736 0.250
18 Tm 0.736 0.264 0.750

Peak list (10 most intense, 2θ from 5° to 70°, in order of falling intensity)
| 2θ/deg | I/Imax |
| --- | --- |
| 30.9 | 100.0 |
| 31.1 | 72.3 |
| 31.2 | 52.0 |
| 32.9 | 26.7 |
| 35.4 | 22.0 |
| 33.2 | 21.2 |
| 20.2 | 18.2 |
| 32.0 | 16.7 |
| 55.2 | 14.3 |
| 28.9 | 13.4 |

=====

No. 8
Structure and computed X-ray diffraction stick pattern of PrSmNiRh (a DFT-relaxed cell (GGA-PBE, Alexandria); copper Kα).
Kinematic intensities with the Lorentz-polarization factor, no thermal factor.

Cell and atoms:
a b c (Å): 4.163 5.823 5.823
angles (deg): 39.75 90.00 90.00
Sites, in units of the cell vectors:
1 Pr 0.000 0.000 0.000
2 Sm 0.500 0.279 0.279
3 Ni 0.500 0.566 0.566
4 Rh 0.000 0.721 0.721

Peak list (10 most intense, 2θ from 5° to 70°, in order of falling intensity)
| 2θ/deg | I/Imax |
| --- | --- |
| 32.3 | 100.0 |
| 40.0 | 57.1 |
| 33.4 | 35.6 |
| 32.7 | 29.4 |
| 43.5 | 24.6 |
| 45.8 | 21.1 |
| 39.4 | 21.0 |
| 26.9 | 17.4 |
| 55.9 | 16.3 |
| 65.0 | 14.6 |

=====

No. 9
Structure and computed X-ray diffraction stick pattern of Tm3TeC (a DFT-relaxed cell (GGA-PBE, Alexandria); copper Kα).
Kinematic intensities with the Lorentz-polarization factor, no thermal factor.

Cell and atoms:
a b c (Å): 9.093 9.093 6.192
angles (deg): 101.03 101.03 93.93
Sites, in units of the cell vectors:
1 Tm 0.082 0.761 0.963
2 Tm 0.154 0.559 0.415
3 Tm 0.239 0.918 0.537
4 Tm 0.305 0.503 0.944
5 Tm 0.441 0.846 0.085
6 Tm 0.497 0.695 0.556
7 Tm 0.503 0.305 0.444
8 Tm 0.559 0.154 0.915
9 Tm 0.695 0.497 0.056
10 Tm 0.761 0.082 0.463
11 Tm 0.846 0.441 0.585
12 Tm 0.918 0.239 0.037
13 Te 0.096 0.240 0.554
14 Te 0.240 0.096 0.054
15 Te 0.760 0.904 0.946
16 Te 0.904 0.760 0.446
17 C 0.284 0.716 0.750
18 C 0.285 0.715 0.250
19 C 0.715 0.285 0.750
20 C 0.716 0.284 0.250

Peak list (10 most intense, 2θ from 5° to 70°, in order of falling intensity)
| 2θ/deg | I/Imax |
| --- | --- |
| 30.0 | 100.0 |
| 32.4 | 88.5 |
| 36.2 | 73.1 |
| 29.6 | 53.5 |
| 30.8 | 51.3 |
| 37.1 | 35.3 |
| 31.1 | 34.8 |
| 53.9 | 28.8 |
| 55.3 | 28.3 |
| 58.0 | 17.6 |